BS5I: calculated powder diffraction line list (CuKα), based on DFT lattice parameters and positions (GGA-PBE).

Main lines, sorted by position (2θ from 10° to 80°):
- 2θ = 14.97°, 5.920 Å, I = 57, hkl 0 4 0
- 2θ = 20.18°, 4.400 Å, I = 29, hkl 1 1 0
- 2θ = 22.53°, 3.947 Å, I = 32, hkl 0 6 0
- 2θ = 22.83°, 3.895 Å, I = 100, hkl 1 3 0
- 2θ = 23.06°, 3.858 Å, I = 29, hkl 0 2 1
- 2θ = 26.24°, 3.396 Å, I = 19, hkl 1 1 -1
- 2θ = 26.53°, 3.360 Å, I = 75, hkl 0 4 1
- 2θ = 27.41°, 3.254 Å, I = 20, hkl 1 5 0
- 2θ = 28.36°, 3.147 Å, I = 39, hkl 1 3 -1
- 2θ = 31.54°, 2.837 Å, I = 18, hkl 0 6 1
- 2θ = 33.14°, 2.703 Å, I = 49, hkl 1 1 1
- 2θ = 37.33°, 2.409 Å, I = 31, hkl 1 7 -1

Structure:
```
data_BS5I
_chemical_formula_sum 'B2 S10 I2'
_symmetry_space_group_name_H-M 'C 1 2 1'
_symmetry_Int_Tables_number 5
_symmetry_space_group_name_Hall 'C 2y'
_cell_length_a 4.600
_cell_length_b 23.680
_cell_length_c 4.191
_cell_angle_alpha 90.00
_cell_angle_beta 103.20
_cell_angle_gamma 90.00
loop_
_atom_site_label
_atom_site_fract_x
_atom_site_fract_y
_atom_site_fract_z
_atom_site_occupancy
B1 0.000 0.000 0.000 1
S1 0.000 0.289 0.000 1
S2 0.165 0.234 0.709 1
S3 0.186 0.550 0.894 1
I1 0.000 0.938 0.500 1
```